The following is a computed XRD peak list of PmSm5DyY2. It was derived from a DFT-relaxed cell (GGA-PBE, Alexandria), using Cu Kα (weighted mean of Kα1 and Kα2).
Intensities are scaled so that the largest is 100.

Main lines, sorted by position (5° ≤ 2θ ≤ 70°):
two_theta	Rel. int.	h k l
27.71	17	0 6 1
29.93	34	1 1 3
31.55	39	2 0 0
31.89	100	1 5 2
33.51	13	0 0 4
42.49	11	2 6 1
46.69	10	2 0 4
56.40	20	3 5 2
58.74	12	1 11 3
60.78	12	2 6 5

Structural model:
Unit cell a=5.6709 b=20.2532 c=10.6972 alpha=90.00 beta=90.00 gamma=90.00
Space group Cmc2_1 (No. 36)
Inequivalent atoms, fractional coordinates:
Pm (0.0000, 0.2026, 0.0000)
Sm (0.0000, 0.0182, 0.0152)
Sm (0.0000, 0.2825, 0.2981)
Sm (0.0000, 0.2976, 0.6949)
Sm (0.0000, 0.3942, 0.0163)
Sm (0.0000, 0.4787, 0.7324)
Dy (0.0000, 0.4118, 0.4481)
Y (0.0000, 0.1100, 0.7271)
Y (0.0000, 0.1165, 0.3121)

***

The following is a computed XRD peak list of Ac2Bi2Pd3. It was derived from a DFT-relaxed cell (GGA-PBE, Alexandria), using Cu Kα (weighted mean of Kα1 and Kα2).
Intensities are scaled so that the largest is 100.

Main lines, sorted by position (5° ≤ 2θ ≤ 70°):
two_theta	Rel. int.	h k l
27.41	100	2 2 0
30.72	25	3 1 0
33.74	22	2 2 2
36.53	35	3 1 2
39.15	45	4 0 0
46.27	16	3 3 2
48.46	27	4 2 2
50.57	14	4 3 1
56.57	24	4 4 0
67.51	21	6 2 2

Structural model:
Unit cell a=9.2029 b=9.2029 c=9.2029 alpha=90.00 beta=90.00 gamma=90.00
Space group I2_13 (No. 199)
Inequivalent atoms, fractional coordinates:
Ac (0.2446, 0.2446, 0.2446)
Bi (0.0406, 0.4594, 0.5406)
Pd (0.0000, 0.2500, 0.0135)